No. 1
Computed powder XRD pattern
Compound: Li4CuNi2Ge
Radiation: Cu Kα X-rays
Structure: the GGA-PBE geometry in OQMD
Neutral-atom scattering factors, no anomalous dispersion.

Structural model:
```
data_Li4CuNi2Ge
_space_group_name_H-M_alt 'P -4 m 2'
_space_group_IT_number 115
_cell_length_a 4.1418
_cell_length_b 4.1418
_cell_length_c 5.7005
_cell_angle_alpha 90.00
_cell_angle_beta 90.00
_cell_angle_gamma 90.00
loop_
_space_group_symop_operation_xyz
'x,y,z'
'y,-x,-z'
'-x,-y,z'
'-y,x,-z'
'-x,y,z'
'-y,-x,-z'
'x,-y,z'
'y,x,-z'
loop_
_atom_site_label
_atom_site_type_symbol
_atom_site_fract_x
_atom_site_fract_y
_atom_site_fract_z
Li1 Li 0.0000 0.0000 0.0000
Li2 Li 0.0000 0.5000 0.2403
Li3 Li 0.5000 0.5000 0.5000
Cu1 Cu 0.5000 0.5000 0.0000
Ni1 Ni 0.0000 0.5000 0.7350
Ge1 Ge 0.0000 0.0000 0.5000
```

Peak list (8 most intense, 2θ from 5° to 70°, sorted by position)
2theta	Rel. int.
15.5	1
26.6	100
43.7	34
44.3	65
51.9	30
53.0	13
63.5	11
65.5	5

---

No. 2
Computed powder XRD pattern
Compound: Pr2NdSe3
Radiation: Cu Kα X-rays
Structure: the GGA-PBE geometry in OQMD
Neutral-atom scattering factors, no anomalous dispersion.

Structural model:
```
data_Pr2NdSe3
_space_group_name_H-M_alt 'P -3 m 1'
_space_group_IT_number 164
_space_group_name_Hall '-P 3 2"'
_cell_length_a 4.2455
_cell_length_b 4.2455
_cell_length_c 10.4349
_cell_angle_alpha 90.00
_cell_angle_beta 90.00
_cell_angle_gamma 120.00
loop_
_atom_site_label
_atom_site_type_symbol
_atom_site_fract_x
_atom_site_fract_y
_atom_site_fract_z
Pr1 Pr 0.3333 0.6667 0.1675
Nd1 Nd 0.0000 0.0000 0.5000
Se1 Se 0.0000 0.0000 0.0000
Se2 Se 0.3333 0.6667 0.6642
```

Peak list (8 most intense, 2θ from 5° to 70°, sorted by position)
2theta	Rel. int.
25.7	15
29.7	100
42.5	38
42.6	37
52.6	7
52.8	20
61.7	12
69.9	17

---

No. 3
Computed powder XRD pattern
Compound: PrDy2Zn3Ir2Pt
Radiation: Cu Kα X-rays
Structure: the GGA-PBE geometry in OQMD
Neutral-atom scattering factors, no anomalous dispersion.

Structural model:
```
data_PrDy2Zn3Ir2Pt
_space_group_name_H-M_alt 'A m m 2'
_space_group_IT_number 38
_cell_length_a 3.9421
_cell_length_b 12.5749
_cell_length_c 7.2129
_cell_angle_alpha 90.00
_cell_angle_beta 90.00
_cell_angle_gamma 90.00
loop_
_space_group_symop_operation_xyz
'x,y,z'
'-x,-y,z'
'-x,y,z'
'x,-y,z'
'x,y+1/2,z+1/2'
'-x,-y+1/2,z+1/2'
'-x,y+1/2,z+1/2'
'x,-y+1/2,z+1/2'
loop_
_atom_site_label
_atom_site_type_symbol
_atom_site_fract_x
_atom_site_fract_y
_atom_site_fract_z
Pr1 Pr 0.0000 0.0000 0.0000
Dy1 Dy 0.0000 0.2041 0.3836
Zn1 Zn 0.5000 0.0000 0.3393
Zn2 Zn 0.5000 0.1265 0.7098
Ir1 Ir 0.5000 0.1723 0.0896
Pt1 Pt 0.0000 0.0000 0.5802
```

Peak list (8 most intense, 2θ from 5° to 70°, sorted by position)
2theta	Rel. int.
24.6	28
33.6	97
36.6	40
36.7	100
43.4	37
44.6	37
46.0	35
69.5	27

---

No. 4
Computed powder XRD pattern
Compound: Sr4Zn3F14
Radiation: Cu Kα X-rays
Structure: the GGA-PBE geometry in OQMD
Neutral-atom scattering factors, no anomalous dispersion.

Structural model:
```
data_Sr4Zn3F14
_space_group_name_H-M_alt 'P 3 1 m'
_space_group_IT_number 157
_cell_length_a 6.6657
_cell_length_b 6.6657
_cell_length_c 7.0800
_cell_angle_alpha 90.00
_cell_angle_beta 90.00
_cell_angle_gamma 120.00
loop_
_space_group_symop_operation_xyz
'x,y,z'
'-y,x-y,z'
'-x+y,-x,z'
'y,x,z'
'x-y,-y,z'
'-x,-x+y,z'
loop_
_atom_site_label
_atom_site_type_symbol
_atom_site_fract_x
_atom_site_fract_y
_atom_site_fract_z
Sr1 Sr 0.0000 0.0000 0.0000
Sr2 Sr 0.0000 0.0000 0.4720
Sr3 Sr 0.3333 0.6667 0.2357
Zn1 Zn 0.0000 0.5578 0.7371
F1 F 0.0000 0.2420 0.7352
F2 F 0.0000 0.2676 0.2365
F3 F 0.0000 0.6107 0.4642
F4 F 0.0000 0.6134 0.0107
F5 F 0.3333 0.6667 0.7451
```

Peak list (8 most intense, 2θ from 5° to 70°, sorted by position)
2theta	Rel. int.
26.7	27
29.6	100
31.0	22
33.5	26
47.2	37
49.0	55
49.9	16
63.8	16

---

No. 5
Computed powder XRD pattern
Compound: ZnGeSO
Radiation: Cu Kα X-rays
Structure: the GGA-PBE geometry in OQMD
Neutral-atom scattering factors, no anomalous dispersion.

Structural model:
```
data_ZnGeSO
_space_group_name_H-M_alt 'P 21 21 21'
_space_group_IT_number 19
_cell_length_a 5.4155
_cell_length_b 6.7219
_cell_length_c 7.9315
_cell_angle_alpha 90.00
_cell_angle_beta 90.00
_cell_angle_gamma 90.00
loop_
_space_group_symop_operation_xyz
'x,y,z'
'-x+1/2,-y,z+1/2'
'x+1/2,-y+1/2,-z'
'-x,y+1/2,-z+1/2'
loop_
_atom_site_label
_atom_site_type_symbol
_atom_site_fract_x
_atom_site_fract_y
_atom_site_fract_z
Zn1 Zn 0.0111 0.1184 0.0950
Ge1 Ge 0.0571 0.1356 0.4068
S1 S 0.0718 0.3883 0.9139
O1 O 0.1218 0.8507 0.0050
```

Peak list (8 most intense, 2θ from 5° to 70°, sorted by position)
2theta	Rel. int.
19.9	100
22.4	77
28.9	97
31.3	80
33.1	78
37.9	59
43.6	96
55.8	62

---

No. 6
Computed powder XRD pattern
Compound: Li4Zn2FePd
Radiation: Cu Kα X-rays
Structure: the GGA-PBE geometry in OQMD
Neutral-atom scattering factors, no anomalous dispersion.

Structural model:
```
data_Li4Zn2FePd
_space_group_name_H-M_alt 'P -4 m 2'
_space_group_IT_number 115
_cell_length_a 4.2321
_cell_length_b 4.2321
_cell_length_c 6.0020
_cell_angle_alpha 90.00
_cell_angle_beta 90.00
_cell_angle_gamma 90.00
loop_
_space_group_symop_operation_xyz
'x,y,z'
'y,-x,-z'
'-x,-y,z'
'-y,x,-z'
'-x,y,z'
'-y,-x,-z'
'x,-y,z'
'y,x,-z'
loop_
_atom_site_label
_atom_site_type_symbol
_atom_site_fract_x
_atom_site_fract_y
_atom_site_fract_z
Li1 Li 0.0000 0.0000 0.0000
Li2 Li 0.0000 0.5000 0.2481
Li3 Li 0.5000 0.5000 0.5000
Zn1 Zn 0.0000 0.5000 0.7366
Fe1 Fe 0.0000 0.0000 0.5000
Pd1 Pd 0.5000 0.5000 0.0000
```

Peak list (8 most intense, 2θ from 5° to 70°, sorted by position)
2theta	Rel. int.
21.0	5
25.8	100
42.7	97
50.5	15
50.6	30
61.8	5
62.0	10
68.2	17

---

No. 7
Computed powder XRD pattern
Compound: DyLuCu2As4
Radiation: Cu Kα X-rays
Structure: the GGA-PBE geometry in OQMD
Neutral-atom scattering factors, no anomalous dispersion.

Structural model:
```
data_DyLuCu2As4
_space_group_name_H-M_alt 'P 4 m m'
_space_group_IT_number 99
_cell_length_a 3.8863
_cell_length_b 3.8863
_cell_length_c 9.7770
_cell_angle_alpha 90.00
_cell_angle_beta 90.00
_cell_angle_gamma 90.00
loop_
_space_group_symop_operation_xyz
'x,y,z'
'-y,x,z'
'-x,-y,z'
'y,-x,z'
'-x,y,z'
'y,x,z'
'x,-y,z'
'-y,-x,z'
loop_
_atom_site_label
_atom_site_type_symbol
_atom_site_fract_x
_atom_site_fract_y
_atom_site_fract_z
Dy1 Dy 0.0000 0.0000 0.0000
Lu1 Lu 0.5000 0.5000 0.5276
Cu1 Cu 0.0000 0.5000 0.2669
As1 As 0.0000 0.0000 0.4305
As2 As 0.0000 0.5000 0.7606
As3 As 0.5000 0.5000 0.1037
```

Peak list (8 most intense, 2θ from 5° to 70°, sorted by position)
2theta	Rel. int.
24.7	24
29.4	15
36.0	26
36.8	15
37.5	100
46.7	34
52.4	16
60.9	13

---

No. 8
Computed powder XRD pattern
Compound: MgCo6As2P2
Radiation: Cu Kα X-rays
Structure: the GGA-PBE geometry in OQMD
Neutral-atom scattering factors, no anomalous dispersion.

Structural model:
```
data_MgCo6As2P2
_space_group_name_H-M_alt 'A m m 2'
_space_group_IT_number 38
_cell_length_a 3.4140
_cell_length_b 6.6421
_cell_length_c 11.6867
_cell_angle_alpha 90.00
_cell_angle_beta 90.00
_cell_angle_gamma 90.00
loop_
_space_group_symop_operation_xyz
'x,y,z'
'-x,-y,z'
'-x,y,z'
'x,-y,z'
'x,y+1/2,z+1/2'
'-x,-y+1/2,z+1/2'
'-x,y+1/2,z+1/2'
'x,-y+1/2,z+1/2'
loop_
_atom_site_label
_atom_site_type_symbol
_atom_site_fract_x
_atom_site_fract_y
_atom_site_fract_z
Mg1 Mg 0.0000 0.0000 0.0000
Co1 Co 0.0000 0.0000 0.5436
Co2 Co 0.0000 0.1935 0.7533
Co3 Co 0.5000 0.0000 0.2224
Co4 Co 0.5000 0.2024 0.4102
As1 As 0.5000 0.2251 0.6065
P1 P 0.0000 0.0000 0.3486
P2 P 0.5000 0.0000 0.8248
```

Peak list (8 most intense, 2θ from 5° to 70°, sorted by position)
2theta	Rel. int.
15.3	31
40.6	55
40.9	100
49.2	28
49.4	46
49.7	26
53.7	35
54.6	28

---

No. 9
Computed powder XRD pattern
Compound: BaSrP2Au2
Radiation: Cu Kα X-rays
Structure: the GGA-PBE geometry in OQMD
Neutral-atom scattering factors, no anomalous dispersion.

Structural model:
```
data_BaSrP2Au2
_space_group_name_H-M_alt 'P 3 m 1'
_space_group_IT_number 156
_cell_length_a 4.4132
_cell_length_b 4.4132
_cell_length_c 8.8780
_cell_angle_alpha 90.00
_cell_angle_beta 90.00
_cell_angle_gamma 120.00
loop_
_space_group_symop_operation_xyz
'x,y,z'
'-y,x-y,z'
'-x+y,-x,z'
'-y,-x,z'
'-x+y,y,z'
'x,x-y,z'
loop_
_atom_site_label
_atom_site_type_symbol
_atom_site_fract_x
_atom_site_fract_y
_atom_site_fract_z
Ba1 Ba 0.0000 0.0000 0.0000
Sr1 Sr 0.0000 0.0000 0.4999
P1 P 0.3333 0.6667 0.7393
P2 P 0.6667 0.3333 0.2595
Au1 Au 0.3333 0.6667 0.2643
Au2 Au 0.6667 0.3333 0.7359
```

Peak list (8 most intense, 2θ from 5° to 70°, sorted by position)
2theta	Rel. int.
25.4	69
30.9	100
38.5	22
40.6	17
40.9	53
52.1	23
59.0	33
68.3	20

---

No. 10
Computed powder XRD pattern
Compound: La3InHg2PdAu2
Radiation: Cu Kα X-rays
Structure: the GGA-PBE geometry in OQMD
Neutral-atom scattering factors, no anomalous dispersion.

Structural model:
```
data_La3InHg2PdAu2
_space_group_name_H-M_alt 'A m m 2'
_space_group_IT_number 38
_cell_length_a 4.0310
_cell_length_b 14.0490
_cell_length_c 7.9930
_cell_angle_alpha 90.00
_cell_angle_beta 90.00
_cell_angle_gamma 90.00
loop_
_space_group_symop_operation_xyz
'x,y,z'
'-x,-y,z'
'-x,y,z'
'x,-y,z'
'x,y+1/2,z+1/2'
'-x,-y+1/2,z+1/2'
'-x,y+1/2,z+1/2'
'x,-y+1/2,z+1/2'
loop_
_atom_site_label
_atom_site_type_symbol
_atom_site_fract_x
_atom_site_fract_y
_atom_site_fract_z
La1 La 0.0000 0.0000 0.0000
La2 La 0.0000 0.2033 0.5894
In1 In 0.5000 0.0000 0.6420
Hg1 Hg 0.5000 0.1299 0.2648
Pd1 Pd 0.0000 0.0000 0.4022
Au1 Au 0.5000 0.1624 0.8865
```

Peak list (8 most intense, 2θ from 5° to 70°, sorted by position)
2theta	Rel. int.
31.3	86
31.5	67
33.8	85
34.0	100
38.9	53
41.1	27
45.0	39
60.9	31

---

No. 11
Computed powder XRD pattern
Compound: Tb2YSn3Pb4
Radiation: Cu Kα X-rays
Structure: the GGA-PBE geometry in OQMD
Neutral-atom scattering factors, no anomalous dispersion.

Structural model:
```
data_Tb2YSn3Pb4
_space_group_name_H-M_alt 'C m m m'
_space_group_IT_number 65
_space_group_name_Hall '-C 2 2'
_cell_length_a 4.5337
_cell_length_b 26.8257
_cell_length_c 4.4994
_cell_angle_alpha 90.00
_cell_angle_beta 90.00
_cell_angle_gamma 90.00
loop_
_atom_site_label
_atom_site_type_symbol
_atom_site_fract_x
_atom_site_fract_y
_atom_site_fract_z
Tb1 Tb 0.0000 0.1889 0.0000
Y1 Y 0.0000 0.5000 0.5000
Sn1 Sn 0.0000 0.0000 0.0000
Sn2 Sn 0.0000 0.0961 0.5000
Pb1 Pb 0.0000 0.2910 0.5000
Pb2 Pb 0.0000 0.4038 0.0000
```

Peak list (8 most intense, 2θ from 5° to 70°, sorted by position)
2theta	Rel. int.
32.6	100
33.4	20
39.8	16
40.1	15
52.9	12
59.2	12
67.7	13
68.1	12

---

No. 12
Computed powder XRD pattern
Compound: Li2Be2Zn3
Radiation: Cu Kα X-rays
Structure: the GGA-PBE geometry in OQMD
Neutral-atom scattering factors, no anomalous dispersion.

Structural model:
```
data_Li2Be2Zn3
_space_group_name_H-M_alt 'R 3 m'
_space_group_IT_number 160
_space_group_name_Hall 'R 3 -2"'
_cell_length_a 4.0861
_cell_length_b 4.0861
_cell_length_c 17.6157
_cell_angle_alpha 90.00
_cell_angle_beta 90.00
_cell_angle_gamma 120.00
loop_
_atom_site_label
_atom_site_type_symbol
_atom_site_fract_x
_atom_site_fract_y
_atom_site_fract_z
Li1 Li 0.0000 0.0000 0.0000
Li2 Li 0.0000 0.0000 0.4258
Be1 Be 0.0000 0.0000 0.1487
Be2 Be 0.0000 0.0000 0.6997
Zn1 Zn 0.0000 0.0000 0.2879
Zn2 Zn 0.0000 0.0000 0.5661
Zn3 Zn 0.0000 0.0000 0.8309
```

Peak list (8 most intense, 2θ from 5° to 70°, sorted by position)
2theta	Rel. int.
15.1	86
27.2	19
32.5	100
44.2	55
44.3	72
47.1	29
48.7	19
56.0	20